Entry 1:
Mn2ZnO4: computed XRD peak list (Cu Kα (weighted mean of Kα1 and Kα2)), based on a crystal structure in the Materials Project, relaxed with PBE+U.
No peak broadening, texture or thermal motion is included.

Largest 12 diffraction maxima, low angle first, 10° ≤ 2θ ≤ 90°:
2theta, d_spacing, I/Imax, h k l
17.12, 5.179, 70, 0 0 2
23.96, 3.714, 62, 1 1 -1
24.26, 3.669, 58, 1 1 1
34.03, 2.635, 100, 1 2 0
34.18, 2.624, 36, 1 1 -3
34.66, 2.588, 83, 0 0 4
38.14, 2.360, 43, 1 2 -2
38.54, 2.336, 55, 1 2 2
49.03, 1.858, 43, 1 2 -4
49.21, 1.852, 37, 2 0 -4
49.67, 1.836, 44, 1 2 4
61.75, 1.502, 60, 3 2 0

Cell and atoms:
```
data_Mn2ZnO4
_cell_length_a 5.173
_cell_length_b 6.123
_cell_length_c 10.361
_cell_angle_alpha 90.00
_cell_angle_beta 91.37
_cell_angle_gamma 90.00
_space_group_name_H-M_alt 'P 1'
_space_group_IT_number 1
loop_
_space_group_symop_operation_xyz
'x,y,z'
loop_
_atom_site_label
_atom_site_fract_x
_atom_site_fract_y
_atom_site_fract_z
_atom_site_occupancy
Mn1 0.004 0.000 0.013 1
Mn2 0.004 0.494 0.489 1
Mn3 0.493 0.245 0.015 1
Mn4 0.494 0.250 0.480 1
Mn5 0.506 0.750 0.520 1
Mn6 0.507 0.745 0.985 1
Mn7 0.996 0.500 0.987 1
Mn8 0.996 0.994 0.511 1
Zn1 0.132 0.753 0.753 1
Zn2 0.494 0.746 0.254 1
Zn3 0.506 0.246 0.746 1
Zn4 0.868 0.253 0.247 1
O1 0.139 0.232 0.402 1
O2 0.146 0.263 0.097 1
O3 0.228 0.753 0.399 1
O4 0.236 0.741 0.106 1
O5 0.288 0.511 0.866 1
O6 0.294 0.987 0.636 1
O7 0.328 0.003 0.910 1
O8 0.337 0.485 0.591 1
O9 0.663 0.985 0.409 1
O10 0.672 0.503 0.090 1
O11 0.706 0.487 0.364 1
O12 0.712 0.011 0.134 1
O13 0.764 0.241 0.894 1
O14 0.772 0.253 0.601 1
O15 0.854 0.763 0.903 1
O16 0.861 0.732 0.598 1
```


Entry 2:
MgMn6O7F5: computed XRD peak list (Cu Kα (weighted mean of Kα1 and Kα2)), based on a crystal structure in the Materials Project, relaxed with PBE+U.
No peak broadening, texture or thermal motion is included.

Largest 12 diffraction maxima, low angle first, 10° ≤ 2θ ≤ 90°:
2theta, d_spacing, I/Imax, h k l
22.45, 3.960, 100, -1 1 1
28.18, 3.167, 81, 1 1 -1
31.87, 2.808, 20, -1 1 2
34.79, 2.579, 48, 2 -1 1
35.23, 2.548, 28, 0 1 -3
35.49, 2.530, 25, 0 2 0
37.14, 2.421, 25, 2 -2 1
48.05, 1.893, 23, 3 -2 0
48.88, 1.863, 23, 1 0 -4
54.53, 1.683, 19, 3 0 0
54.91, 1.672, 19, 1 2 -4
61.41, 1.510, 19, 2 -2 4

Cell and atoms:
```
data_MgMn6O7F5
_cell_length_a 5.847
_cell_length_b 6.032
_cell_length_c 7.761
_cell_angle_alpha 105.76
_cell_angle_beta 97.82
_cell_angle_gamma 115.50
_space_group_name_H-M_alt 'P 1'
_space_group_IT_number 1
loop_
_space_group_symop_operation_xyz
'x,y,z'
loop_
_atom_site_label
_atom_site_fract_x
_atom_site_fract_y
_atom_site_fract_z
_atom_site_occupancy
Mg1 0.000 0.000 0.000 1
Mn1 0.313 0.517 0.349 1
Mn2 0.339 0.879 0.774 1
Mn3 0.621 0.033 0.192 1
Mn4 0.669 0.499 0.653 1
Mn5 0.959 0.054 0.532 1
Mn6 0.971 0.487 0.991 1
O1 0.004 0.165 0.308 1
O2 0.253 0.846 0.025 1
O3 0.409 0.609 0.607 1
O4 0.596 0.855 0.372 1
O5 0.721 0.131 0.979 1
O6 0.906 0.371 0.723 1
O7 0.960 0.858 0.704 1
F1 0.035 0.627 0.262 1
F2 0.265 0.370 0.070 1
F3 0.351 0.157 0.629 1
F4 0.576 0.340 0.360 1
F5 0.708 0.651 0.957 1
```


Entry 3:
Li9Mn7O16: computed XRD peak list (Cu Kα (weighted mean of Kα1 and Kα2)), based on a crystal structure in the Materials Project, relaxed with PBE+U.
No peak broadening, texture or thermal motion is included.

Largest 12 diffraction maxima, low angle first, 10° ≤ 2θ ≤ 90°:
2theta, d_spacing, I/Imax, h k l
18.18, 4.880, 100, 0 0 4
33.58, 2.669, 20, 1 -1 1
36.02, 2.493, 12, 0 2 1
36.27, 2.477, 12, 1 1 -2
40.24, 2.241, 38, 1 -1 5
44.14, 2.052, 55, 1 1 -6
58.14, 1.587, 9, 0 2 9
60.76, 1.524, 9, 1 -3 0
61.16, 1.515, 9, 0 2 -11
61.39, 1.510, 9, 2 0 -1
61.71, 1.503, 8, 1 1 10
64.73, 1.440, 8, 1 3 -1

Cell and atoms:
```
data_Li9Mn7O16
_cell_length_a 3.033
_cell_length_b 5.112
_cell_length_c 19.589
_cell_angle_alpha 94.72
_cell_angle_beta 90.71
_cell_angle_gamma 93.96
_space_group_name_H-M_alt 'P 1'
_space_group_IT_number 1
loop_
_space_group_symop_operation_xyz
'x,y,z'
loop_
_atom_site_label
_atom_site_fract_x
_atom_site_fract_y
_atom_site_fract_z
_atom_site_occupancy
Li1 0.000 0.000 0.000 1
Li2 0.055 0.691 0.119 1
Li3 0.188 0.062 0.375 1
Li4 0.313 0.437 0.625 1
Li5 0.431 0.827 0.883 1
Li6 0.569 0.173 0.117 1
Li7 0.687 0.563 0.375 1
Li8 0.812 0.938 0.625 1
Li9 0.945 0.309 0.881 1
Mn1 0.121 0.376 0.249 1
Mn2 0.250 0.750 0.500 1
Mn3 0.378 0.124 0.751 1
Mn4 0.500 0.500 0.000 1
Mn5 0.622 0.876 0.249 1
Mn6 0.750 0.250 0.500 1
Mn7 0.879 0.624 0.751 1
O1 0.010 0.634 0.946 1
O2 0.069 0.042 0.192 1
O3 0.183 0.709 0.308 1
O4 0.191 0.416 0.442 1
O5 0.309 0.083 0.558 1
O6 0.321 0.790 0.692 1
O7 0.425 0.462 0.806 1
O8 0.462 0.181 0.941 1
O9 0.538 0.819 0.059 1
O10 0.575 0.538 0.194 1
O11 0.679 0.210 0.308 1
O12 0.691 0.917 0.442 1
O13 0.809 0.584 0.558 1
O14 0.817 0.291 0.692 1
O15 0.931 0.958 0.808 1
O16 0.990 0.366 0.054 1
```


Entry 4:
Mg14SiNiO16: computed XRD peak list (Cu Kα (weighted mean of Kα1 and Kα2)), based on a crystal structure in the Materials Project, relaxed with PBE+U.
No peak broadening, texture or thermal motion is included.

Largest 12 diffraction maxima, low angle first, 10° ≤ 2θ ≤ 90°:
2theta, d_spacing, I/Imax, h k l
10.41, 8.502, 12, 0 1 0
23.34, 3.811, 6, 1 1 0
36.45, 2.465, 43, 1 2 2
42.05, 2.149, 90, 0 0 4
42.43, 2.130, 91, 2 0 0
42.53, 2.125, 90, 0 4 0
61.31, 1.512, 100, 2 0 4
61.64, 1.505, 51, 2 4 0
73.17, 1.294, 10, 1 2 6
73.70, 1.285, 9, 3 2 2
73.85, 1.283, 9, 1 6 2
77.43, 1.233, 45, 2 4 4

Cell and atoms:
```
data_Mg14SiNiO16
_cell_length_a 4.261
_cell_length_b 8.502
_cell_length_c 8.596
_cell_angle_alpha 90.00
_cell_angle_beta 90.00
_cell_angle_gamma 90.00
_space_group_name_H-M_alt 'P 1'
_space_group_IT_number 1
loop_
_space_group_symop_operation_xyz
'x,y,z'
loop_
_atom_site_label
_atom_site_fract_x
_atom_site_fract_y
_atom_site_fract_z
_atom_site_occupancy
Mg1 0.000 0.000 0.000 1
Mg2 0.000 0.000 0.500 1
Mg3 0.000 0.251 0.245 1
Mg4 0.000 0.251 0.755 1
Mg5 0.000 0.749 0.245 1
Mg6 0.000 0.749 0.755 1
Mg7 0.500 0.000 0.248 1
Mg8 0.500 0.000 0.752 1
Mg9 0.500 0.249 0.500 1
Mg10 0.500 0.254 0.000 1
Mg11 0.500 0.500 0.244 1
Mg12 0.500 0.500 0.756 1
Mg13 0.500 0.746 0.000 1
Mg14 0.500 0.751 0.500 1
Si1 0.000 0.500 0.500 1
Ni1 0.000 0.500 0.000 1
O1 0.000 0.000 0.253 1
O2 0.000 0.000 0.747 1
O3 0.000 0.242 0.000 1
O4 0.000 0.257 0.500 1
O5 0.000 0.500 0.289 1
O6 0.000 0.500 0.711 1
O7 0.000 0.743 0.500 1
O8 0.000 0.758 0.000 1
O9 0.500 0.000 0.000 1
O10 0.500 0.000 0.500 1
O11 0.500 0.252 0.251 1
O12 0.500 0.252 0.749 1
O13 0.500 0.500 0.000 1
O14 0.500 0.500 0.500 1
O15 0.500 0.748 0.251 1
O16 0.500 0.748 0.749 1
```